Diffraction record for NaTl2CdBr5. The PXRD pattern is computed, not measured: it uses DFT lattice parameters and positions (GGA-PBE) and λ = 1.5418 Å (Cu Kα).
Peak positions follow from Bragg's law for the DFT cell and can differ from measured ones.

Most intense lines, 10 to 90 degrees two-theta, most intense first:
| 2θ/deg | d [Å] | intensity |
| --- | --- | --- |
| 27.63 | 3.229 | 100.0 |
| 30.99 | 2.885 | 66.1 |
| 19.93 | 4.455 | 63.0 |
| 24.24 | 3.671 | 35.3 |
| 53.06 | 1.726 | 35.3 |
| 41.97 | 2.153 | 32.1 |

Structure:
Cell lengths 9.6003, 9.6003, 15.1707 Å; angles 90.00, 90.00, 154.09 degrees
Element x y z (fractional)
Na: 0.0445 0.9555 0.5000
Na: 0.9555 0.0445 0.0000
Tl: 0.3646 0.6354 0.3427
Tl: 0.4135 0.5865 0.7053
Tl: 0.5865 0.4135 0.2053
Tl: 0.6354 0.3646 0.8427
Cd: 0.2763 0.7237 0.0745
Cd: 0.7237 0.2763 0.5745
Br: 0.0046 0.9954 0.8263
Br: 0.1299 0.8701 0.0406
Br: 0.2007 0.7993 0.4543
Br: 0.2365 0.7635 0.7027
Br: 0.4238 0.5762 0.1135
Br: 0.5762 0.4238 0.6135
Br: 0.7635 0.2365 0.2027
Br: 0.7993 0.2007 0.9543
Br: 0.8701 0.1299 0.5406
Br: 0.9954 0.0046 0.3263